Structure and theoretical powder diffraction line list of BaNd2S4 (the GGA-PBE geometry in the Materials Project; Cu Kα).

a = 8.867 Å, b = 8.867 Å, c = 8.864 Å
α = 90.00°, β = 90.00°, γ = 90.00°
Space group I-42d (No. 122)
One atom of each set of equivalent atoms:
Ba: 0.000 0.000 0.000 x4
Nd: 0.121 0.250 0.625 x8
S: 0.078 0.168 0.315 x16

Most intense lines, 2θ from 10° to 90°, in order of rising 2θ:
d_spacing  Rel. int.  hkl
3.620  1000  2 1 1
2.804  969  3 1 0
2.370  589  3 2 1
1.983  406  4 0 2
1.890  269  3 3 2
1.739  322  3 1 4
1.438  377  1 1 6
1.207  274  2 1 7

Structure and theoretical powder diffraction line list of BaNd2S4 (the GGA-PBE geometry in the Materials Project; Cu Kα).

a = 11.951 Å, b = 4.242 Å, c = 14.965 Å
α = 90.00°, β = 90.00°, γ = 90.00°
Space group Pnma (No. 62)
One atom of each set of equivalent atoms:
Ba: 0.236 0.250 0.158 x4
Nd: 0.061 0.750 0.391 x4
Nd: 0.104 0.750 0.900 x4
S: 0.004 0.750 0.718 x4
S: 0.059 0.750 0.084 x4
S: 0.147 0.250 0.509 x4
S: 0.226 0.250 0.817 x4

Most intense lines, 2θ from 10° to 90°, in order of rising 2θ:
d_spacing  Rel. int.  hkl
3.741  284  0 0 4
3.521  1000  3 0 2
3.459  200  2 1 0
3.118  352  1 1 3
2.846  212  2 1 3
2.540  235  2 1 4
2.443  236  4 1 0
2.121  197  0 2 0

Structure and theoretical powder diffraction line list of BaNd2ZnS5 (the GGA-PBE geometry in the Materials Project; Cu Kα).

a = 7.915 Å, b = 7.915 Å, c = 13.720 Å
α = 90.00°, β = 90.00°, γ = 90.00°
Space group I4/mcm (No. 140)
One atom of each set of equivalent atoms:
Ba: 0.000 0.000 0.250 x4
Nd: 0.162 0.338 0.000 x8
Zn: 0.000 0.500 0.250 x4
S: 0.000 0.000 0.000 x4
S: 0.149 0.351 0.367 x16

Most intense lines, 2θ from 10° to 90°, in order of rising 2θ:
d_spacing  Rel. int.  hkl
3.428  1000  0 0 4
2.799  802  2 2 0
2.503  256  3 1 0
2.169  377  2 2 4
1.901  182  4 0 2
1.770  220  4 2 0
1.399  163  4 4 0
1.231  175  6 0 4

Structure and theoretical powder diffraction line list of BaNi2P4 (the GGA-PBE geometry in the Materials Project; Cu Kα).

a = 6.578 Å, b = 6.578 Å, c = 5.781 Å
α = 90.00°, β = 90.00°, γ = 90.00°
Space group I4/mmm (No. 139)
One atom of each set of equivalent atoms:
Ba: 0.000 0.000 0.000 x2
Ni: 0.000 0.500 0.250 x4
P: 0.000 0.242 0.500 x8

Most intense lines, 2θ from 10° to 90°, in order of rising 2θ:
d_spacing  Rel. int.  hkl
4.342  194  1 0 1
3.289  890  2 0 0
2.622  1000  2 1 1
2.455  832  1 1 2
1.740  317  3 2 1
1.688  466  3 1 2
1.644  234  4 0 0
1.612  218  2 1 3

Structure and theoretical powder diffraction line list of BaNi2P2 (the GGA-PBE geometry in the Materials Project; Cu Kα).

a = 3.947 Å, b = 3.947 Å, c = 11.903 Å
α = 90.00°, β = 90.00°, γ = 90.00°
Space group I4/mmm (No. 139)
One atom of each set of equivalent atoms:
Ba: 0.000 0.000 0.000 x2
Ni: 0.000 0.500 0.250 x4
P: 0.000 0.000 0.341 x4

Most intense lines, 2θ from 10° to 90°, in order of rising 2θ:
d_spacing  Rel. int.  hkl
3.747  468  1 0 1
2.976  343  0 0 4
2.798  925  1 0 3
2.527  1000  1 1 2
1.974  435  2 0 0
1.645  229  2 0 4
1.617  442  1 1 6
1.613  319  2 1 3

Structure and theoretical powder diffraction line list of BaNi10P6 (the GGA-PBE geometry in the Materials Project; Cu Kα).

a = 6.430 Å, b = 16.220 Å, c = 8.774 Å
α = 90.00°, β = 90.00°, γ = 90.00°
Space group Cmce (No. 64)
One atom of each set of equivalent atoms:
Ba: 0.000 0.000 0.000 x4
Ni: 0.000 0.045 0.381 x8
Ni: 0.000 0.209 0.206 x8
Ni: 0.199 0.175 0.471 x16
Ni: 0.250 0.162 0.750 x8
P: 0.000 0.090 0.627 x8
P: 0.000 0.209 0.925 x8
P: 0.250 0.110 0.250 x8

Most intense lines, 2θ from 10° to 90°, in order of rising 2θ:
d_spacing  Rel. int.  hkl
2.989  584  2 2 0
2.750  531  1 5 1
2.519  1000  2 4 0
2.470  711  2 2 2
2.388  817  1 3 3
1.909  775  2 4 3
1.752  494  3 5 1
1.703  672  0 6 4